[1]
For HfAgSe2O8, a DFT-relaxed cell (PBE, Alexandria) gives the computed PXRD pattern in this record (Cu Kα (λ = 1.5418 Å)).
Intensities are scaled so that the largest is 1000.

The 6 most intense peaks (5 to 70 degrees two-theta), in order of rising 2θ:
index, Position (°2θ), I_rel
1 0 0, 17.82, 840
0 1 1, 22.27, 828
1 1 0, 31.12, 988
1 0 2, 32.28, 1000
0 2 2, 45.45, 530
2 1 2, 56.10, 431

```
data_HfAgSe2O8
_chemical_formula_sum 'Hf1 Ag1 Se2 O8'
_cell_length_a 5.7480
_cell_length_b 5.7480
_cell_length_c 6.6802
_cell_angle_alpha 90.00
_cell_angle_beta 90.00
_cell_angle_gamma 120.00
_space_group_name_H-M_alt 'P -3'
_space_group_IT_number 147
loop_
_space_group_symop_operation_xyz
'x,y,z'
'-x,-y,-z'
'-y,x-y,z'
'y,-x+y,-z'
'-x+y,-x,z'
'x-y,x,-z'
loop_
_atom_site_label
_atom_site_type_symbol
_atom_site_fract_x
_atom_site_fract_y
_atom_site_fract_z
Hf1 Hf 0.0000 0.0000 0.0000
Ag1 Ag 0.0000 0.0000 0.5000
Se1 Se 0.3333 0.6667 0.2695
O1 O 0.1619 0.3274 0.1919
O2 O 0.3333 0.6667 0.5139
```

---

[2]
For Li3In3Hg8, a DFT-relaxed cell (PBE, Alexandria) gives the computed PXRD pattern in this record (Cu Kα (λ = 1.5418 Å)).
Intensities are scaled so that the largest is 1000.

The 6 most intense peaks (5 to 70 degrees two-theta), in order of rising 2θ:
index, Position (°2θ), I_rel
0 1 -1, 21.97, 669
0 2 2, 26.56, 700
-2 1 1, 32.61, 1000
2 2 2, 34.72, 594
1 1 3, 35.56, 599
1 -2 1, 37.14, 923

```
data_Li3In3Hg8
_chemical_formula_sum 'Li3 In3 Hg8'
_cell_length_a 6.635
_cell_length_b 7.927
_cell_length_c 7.939
_cell_angle_alpha 61.32
_cell_angle_beta 81.03
_cell_angle_gamma 81.08
_space_group_name_H-M_alt 'P -1'
_space_group_IT_number 2
loop_
_space_group_symop_operation_xyz
'x,y,z'
'-x,-y,-z'
loop_
_atom_site_label
_atom_site_type_symbol
_atom_site_fract_x
_atom_site_fract_y
_atom_site_fract_z
Li1 Li 0.000 0.000 0.000
Li2 Li 0.498 0.685 0.314
In1 In 0.000 0.500 0.500
In2 In 0.474 0.888 0.887
Hg1 Hg 0.133 0.915 0.360
Hg2 Hg 0.135 0.360 0.913
Hg3 Hg 0.316 0.512 0.146
Hg4 Hg 0.319 0.149 0.511
```

---

[3]
For SrLa2Tc, a DFT-relaxed cell (PBE, Alexandria) gives the computed PXRD pattern in this record (Cu Kα (λ = 1.5418 Å)).
Intensities are scaled so that the largest is 1000.

The 6 most intense peaks (5 to 70 degrees two-theta), in order of rising 2θ:
index, Position (°2θ), I_rel
0 0 2, 11.29, 724
0 1 3, 24.83, 686
1 1 2, 32.92, 1000
0 0 6, 34.31, 367
1 1 4, 38.61, 812
2 0 0, 50.92, 377

```
data_SrLa2Tc
_chemical_formula_sum 'Sr2 La4 Tc2'
_cell_length_a 3.590
_cell_length_b 4.927
_cell_length_c 15.680
_cell_angle_alpha 90.00
_cell_angle_beta 90.00
_cell_angle_gamma 90.00
_space_group_name_H-M_alt 'I m m 2'
_space_group_IT_number 44
loop_
_space_group_symop_operation_xyz
'x,y,z'
'-x,-y,z'
'-x,y,z'
'x,-y,z'
'x+1/2,y+1/2,z+1/2'
'-x+1/2,-y+1/2,z+1/2'
'-x+1/2,y+1/2,z+1/2'
'x+1/2,-y+1/2,z+1/2'
loop_
_atom_site_label
_atom_site_type_symbol
_atom_site_fract_x
_atom_site_fract_y
_atom_site_fract_z
Sr1 Sr 0.000 0.000 0.000
La1 La 0.000 0.000 0.324
La2 La 0.000 0.500 0.170
Tc1 Tc 0.000 0.500 0.687
```

---

[4]
For Ba4RhN, a DFT-relaxed cell (PBE, Alexandria) gives the computed PXRD pattern in this record (Cu Kα (λ = 1.5418 Å)).
Intensities are scaled so that the largest is 1000.

The 6 most intense peaks (5 to 70 degrees two-theta), in order of rising 2θ:
index, Position (°2θ), I_rel
2 0 0, 10.25, 304
3 1 -2, 25.46, 1000
0 2 0, 29.24, 555
6 0 -1, 29.48, 388
0 0 3, 29.71, 412
0 2 3, 42.17, 307

```
data_Ba4RhN
_chemical_formula_sum 'Ba16 Rh4 N4'
_cell_length_a 18.179
_cell_length_b 6.108
_cell_length_c 9.502
_cell_angle_alpha 90.00
_cell_angle_beta 108.31
_cell_angle_gamma 90.00
_space_group_name_H-M_alt 'C 1 2/m 1'
_space_group_IT_number 12
loop_
_space_group_symop_operation_xyz
'x,y,z'
'-x,-y,-z'
'-x,y,-z'
'x,-y,z'
'x+1/2,y+1/2,z'
'-x+1/2,-y+1/2,-z'
'-x+1/2,y+1/2,-z'
'x+1/2,-y+1/2,z'
loop_
_atom_site_label
_atom_site_type_symbol
_atom_site_fract_x
_atom_site_fract_y
_atom_site_fract_z
Ba1 Ba 0.058 0.000 0.377
Ba2 Ba 0.121 0.500 0.691
Ba3 Ba 0.137 0.000 0.973
Ba4 Ba 0.242 0.500 0.325
Rh1 Rh 0.221 0.000 0.310
N1 N 0.101 0.000 0.676
```

---

[5]
For InCu2I5, a DFT-relaxed cell (PBE, Alexandria) gives the computed PXRD pattern in this record (Cu Kα (λ = 1.5418 Å)).
Intensities are scaled so that the largest is 1000.

The 6 most intense peaks (5 to 70 degrees two-theta), in order of rising 2θ:
index, Position (°2θ), I_rel
1 1 0, 12.65, 1000
2 0 -1, 14.50, 564
2 0 1, 23.19, 364
0 2 1, 25.07, 345
4 0 -1, 25.34, 560
2 2 -2, 32.35, 400

```
data_InCu2I5
_chemical_formula_sum 'In2 Cu4 I10'
_cell_length_a 14.072
_cell_length_b 8.394
_cell_length_c 7.407
_cell_angle_alpha 90.00
_cell_angle_beta 115.78
_cell_angle_gamma 90.00
_space_group_name_H-M_alt 'C 1 m 1'
_space_group_IT_number 8
loop_
_space_group_symop_operation_xyz
'x,y,z'
'x,-y,z'
'x+1/2,y+1/2,z'
'x+1/2,-y+1/2,z'
loop_
_atom_site_label
_atom_site_type_symbol
_atom_site_fract_x
_atom_site_fract_y
_atom_site_fract_z
In1 In 0.000 0.000 0.000
Cu1 Cu 0.167 0.500 0.226
Cu2 Cu 0.380 0.500 0.436
I1 I 0.125 0.230 0.313
I2 I 0.304 0.500 0.057
I3 I 0.448 0.267 0.685
```

---

[6]
For Tm4B2Cl5, a DFT-relaxed cell (PBE, Alexandria) gives the computed PXRD pattern in this record (Cu Kα (λ = 1.5418 Å)).
Intensities are scaled so that the largest is 1000.

The 6 most intense peaks (5 to 70 degrees two-theta), in order of rising 2θ:
index, Position (°2θ), I_rel
0 0 2, 8.70, 674
0 1 1, 12.57, 1000
0 0 6, 26.30, 829
1 0 3, 27.40, 483
1 2 1, 34.27, 968
1 2 7, 46.50, 555

```
data_Tm4B2Cl5
_chemical_formula_sum 'Tm8 B4 Cl10'
_cell_length_a 3.711
_cell_length_b 7.506
_cell_length_c 20.329
_cell_angle_alpha 90.00
_cell_angle_beta 90.00
_cell_angle_gamma 90.00
_space_group_name_H-M_alt 'I m m m'
_space_group_IT_number 71
_space_group_name_Hall '-I 2 2'
loop_
_atom_site_label
_atom_site_type_symbol
_atom_site_fract_x
_atom_site_fract_y
_atom_site_fract_z
Tm1 Tm 0.000 0.000 0.151
Tm2 Tm 0.000 0.292 0.500
B1 B 0.000 0.000 0.039
Cl1 Cl 0.000 0.252 0.334
Cl2 Cl 0.000 0.500 0.000
```

---

[7]
For Rb6SeBr4, a DFT-relaxed cell (PBE, Alexandria) gives the computed PXRD pattern in this record (Cu Kα (λ = 1.5418 Å)).
Intensities are scaled so that the largest is 1000.

The 6 most intense peaks (5 to 70 degrees two-theta), in order of rising 2θ:
index, Position (°2θ), I_rel
3 0 0, 21.70, 388
1 3 1, 26.63, 432
2 1 4, 28.31, 672
2 2 3, 29.60, 1000
5 1 1, 41.18, 215
6 0 0, 44.15, 199

```
data_Rb6SeBr4
_chemical_formula_sum 'Rb36 Se6 Br24'
_cell_length_a 14.2111
_cell_length_b 14.2111
_cell_length_c 17.1536
_cell_angle_alpha 90.00
_cell_angle_beta 90.00
_cell_angle_gamma 120.00
_space_group_name_H-M_alt 'R -3 c'
_space_group_IT_number 167
_space_group_name_Hall '-R 3 2"c'
loop_
_atom_site_label
_atom_site_type_symbol
_atom_site_fract_x
_atom_site_fract_y
_atom_site_fract_z
Rb1 Rb 0.0403 0.1992 0.3908
Se1 Se 0.0000 0.0000 0.0000
Br1 Br 0.0000 0.0000 0.2500
Br2 Br 0.0000 0.3591 0.2500
```

---

[8]
For Pd4Au3, a DFT-relaxed cell (PBE, Alexandria) gives the computed PXRD pattern in this record (Cu Kα (λ = 1.5418 Å)).
Intensities are scaled so that the largest is 1000.

The 6 most intense peaks (5 to 70 degrees two-theta), in order of rising 2θ:
index, Position (°2θ), I_rel
0 1 1, 22.55, 138
0 1 7, 38.47, 1000
1 1 0, 38.73, 989
1 0 7, 44.77, 652
0 2 0, 45.09, 322
1 2 7, 65.42, 420

```
data_Pd4Au3
_chemical_formula_sum 'Pd8 Au6'
_cell_length_a 2.849
_cell_length_b 4.021
_cell_length_c 20.140
_cell_angle_alpha 90.00
_cell_angle_beta 90.00
_cell_angle_gamma 90.00
_space_group_name_H-M_alt 'I m m m'
_space_group_IT_number 71
_space_group_name_Hall '-I 2 2'
loop_
_atom_site_label
_atom_site_type_symbol
_atom_site_fract_x
_atom_site_fract_y
_atom_site_fract_z
Pd1 Pd 0.000 0.000 0.072
Pd2 Pd 0.000 0.000 0.215
Au1 Au 0.000 0.000 0.356
Au2 Au 0.000 0.000 0.500
```

---

[9]
For NaCa3Au7, a DFT-relaxed cell (PBE, Alexandria) gives the computed PXRD pattern in this record (Cu Kα (λ = 1.5418 Å)).
Intensities are scaled so that the largest is 1000.

The 6 most intense peaks (5 to 70 degrees two-theta), in order of rising 2θ:
index, Position (°2θ), I_rel
1 1 0, 22.41, 1000
1 1 3, 31.27, 538
1 5 2, 33.86, 327
1 7 3, 43.23, 372
1 3 5, 44.79, 313
2 0 0, 44.89, 298

```
data_NaCa3Au7
_chemical_formula_sum 'Na4 Ca12 Au28'
_cell_length_a 4.039
_cell_length_b 21.264
_cell_length_c 12.385
_cell_angle_alpha 90.00
_cell_angle_beta 90.00
_cell_angle_gamma 90.00
_space_group_name_H-M_alt 'C m c m'
_space_group_IT_number 63
_space_group_name_Hall '-C 2c 2'
loop_
_atom_site_label
_atom_site_type_symbol
_atom_site_fract_x
_atom_site_fract_y
_atom_site_fract_z
Na1 Na 0.000 0.008 0.250
Ca1 Ca 0.000 0.137 0.556
Ca2 Ca 0.000 0.206 0.250
Au1 Au 0.000 0.280 0.562
Au2 Au 0.000 0.371 0.250
Au3 Au 0.000 0.403 0.634
Au4 Au 0.000 0.464 0.089
```

---

[10]
For AcCeCdRu, a DFT-relaxed cell (PBE, Alexandria) gives the computed PXRD pattern in this record (Cu Kα (λ = 1.5418 Å)).
Intensities are scaled so that the largest is 1000.

The 6 most intense peaks (5 to 70 degrees two-theta), in order of rising 2θ:
index, Position (°2θ), I_rel
1 1 1, 20.54, 43
2 0 0, 23.76, 70
2 2 0, 33.85, 1000
4 0 0, 48.62, 180
4 2 0, 54.81, 34
4 2 2, 60.55, 372

```
data_AcCeCdRu
_chemical_formula_sum 'Ac4 Ce4 Cd4 Ru4'
_cell_length_a 7.491
_cell_length_b 7.491
_cell_length_c 7.491
_cell_angle_alpha 90.00
_cell_angle_beta 90.00
_cell_angle_gamma 90.00
_space_group_name_H-M_alt 'F -4 3 m'
_space_group_IT_number 216
_space_group_name_Hall 'F -4 2 3'
loop_
_atom_site_label
_atom_site_type_symbol
_atom_site_fract_x
_atom_site_fract_y
_atom_site_fract_z
Ac1 Ac 0.000 0.000 0.000
Ce1 Ce 0.000 0.000 0.500
Cd1 Cd 0.250 0.250 0.250
Ru1 Ru 0.250 0.250 0.750
```

---

[11]
For Ir2ClO, a DFT-relaxed cell (PBE, Alexandria) gives the computed PXRD pattern in this record (Cu Kα (λ = 1.5418 Å)).
Intensities are scaled so that the largest is 1000.

The 6 most intense peaks (5 to 70 degrees two-theta), in order of rising 2θ:
index, Position (°2θ), I_rel
1 0 1, 21.00, 538
0 0 4, 26.51, 547
1 0 3, 28.24, 399
1 1 2, 31.35, 1000
2 1 1, 46.05, 557
2 1 3, 50.09, 384

```
data_Ir2ClO
_chemical_formula_sum 'Ir8 Cl4 O4'
_cell_length_a 4.456
_cell_length_b 4.456
_cell_length_c 13.450
_cell_angle_alpha 90.00
_cell_angle_beta 90.00
_cell_angle_gamma 90.00
_space_group_name_H-M_alt 'I -4 2 d'
_space_group_IT_number 122
_space_group_name_Hall 'I -4 2bw'
loop_
_atom_site_label
_atom_site_type_symbol
_atom_site_fract_x
_atom_site_fract_y
_atom_site_fract_z
Ir1 Ir 0.123 0.250 0.125
Cl1 Cl 0.000 0.000 0.500
O1 O 0.000 0.000 0.000
```

---

[12]
For TcTe2P, a DFT-relaxed cell (PBE, Alexandria) gives the computed PXRD pattern in this record (Cu Kα (λ = 1.5418 Å)).
Intensities are scaled so that the largest is 1000.

The 6 most intense peaks (5 to 70 degrees two-theta), in order of rising 2θ:
index, Position (°2θ), I_rel
0 0 6, 17.89, 308
0 0 9, 26.97, 291
1 0 4, 34.03, 1000
0 1 5, 35.25, 362
0 1 11, 46.55, 313
1 1 0, 56.59, 296

```
data_TcTe2P
_chemical_formula_sum 'Tc3 Te6 P3'
_cell_length_a 3.2528
_cell_length_b 3.2528
_cell_length_c 29.7526
_cell_angle_alpha 90.00
_cell_angle_beta 90.00
_cell_angle_gamma 120.00
_space_group_name_H-M_alt 'R 3 m'
_space_group_IT_number 160
_space_group_name_Hall 'R 3 -2"'
loop_
_atom_site_label
_atom_site_type_symbol
_atom_site_fract_x
_atom_site_fract_y
_atom_site_fract_z
Tc1 Tc 0.0000 0.0000 0.0000
Te1 Te 0.0000 0.0000 0.2626
Te2 Te 0.0000 0.0000 0.4678
P1 P 0.0000 0.0000 0.7146
```